For Er3Mg2Sc3, a DFT-relaxed cell (GGA-PBE, Alexandria) gives the computed PXRD pattern in this record (Cu Kα (λ = 1.5418 Å)).
Intensities are scaled so that the largest is 100.

Cell and atoms:
Cell: 4.7779 4.8431 18.2591 Å, 90.00 90.00 90.00°
Space group Immm (No. 71)
Unique sites:
Er  0.0000  0.0000  0.0000 x2
Er  0.0000  0.5000  0.1266 x4
Mg  0.0000  0.0000  0.2497 x4
Sc  0.0000  0.0000  0.5000 x2
Sc  0.0000  0.5000  0.3710 x4

Top 10 peaks for 2θ from 10° to 80°, low angle first:
Position (°2θ)	I/Imax	hkl
19.2	33	1 0 1
23.5	21	0 1 3
32.8	100	1 1 4
37.1	18	0 2 0
37.7	17	2 0 0
39.5	15	0 0 8
53.9	12	2 2 0
55.3	16	0 2 8
64.2	14	1 3 4
64.9	14	3 1 4